The following is a computed PXRD pattern of FeH12C8S2N2O2. It was derived from a PBE+U-relaxed structure, using copper Kα.
Intensities are scaled so that the largest is 100.

The 6 most intense peaks (2θ = 15–90°), by angle:
hkl 1 0 -1, 17.14 deg, I = 94
hkl 0 1 1, 19.03 deg, I = 51
hkl -1 1 1, 21.60 deg, I = 80
hkl 0 2 -1, 22.88 deg, I = 66
hkl 0 2 -2, 27.55 deg, I = 76
hkl 1 1 1, 27.66 deg, I = 100

Structure:
```
data_FeH12C8S2N2O2
_cell_length_a 5.8170
_cell_length_b 7.9276
_cell_length_c 8.2403
_cell_angle_alpha 106.96
_cell_angle_beta 102.08
_cell_angle_gamma 94.62
_space_group_name_H-M_alt 'P -1'
_space_group_IT_number 2
loop_
_space_group_symop_operation_xyz
'x,y,z'
'-x,-y,-z'
loop_
_atom_site_label
_atom_site_fract_x
_atom_site_fract_y
_atom_site_fract_z
Fe1 0.0000 0.0000 0.0000
H1 0.0350 0.5136 0.7400
H2 0.1209 0.6496 0.4573
H3 0.1748 0.3278 0.6477
H4 0.3859 0.5798 0.2030
H5 0.4114 0.7761 0.1339
H6 0.4622 0.7923 0.3610
C1 0.0056 0.3694 0.6683
C2 0.0992 0.7287 0.2276
C3 0.3547 0.7193 0.2276
C4 0.4094 0.8341 0.8148
S1 0.3550 0.2099 0.2585
N1 0.2372 0.8644 0.8667
O1 0.0258 0.1879 0.8537
```